Starting from a GGA-PBE-relaxed structure, the powder diffractogram of Sn3S2Br2 was computed for Cu Kα (λ = 1.5418 Å).
Kinematic intensities with the Lorentz-polarization factor, no thermal factor.

Top 6 peaks for 2θ from 15° to 90°, low angle first:
- 2θ 23.9, d 3.722, I = 60
- 2θ 24.7, d 3.602, I = 100
- 2θ 27.1, d 3.292, I = 58
- 2θ 32.2, d 2.779, I = 71
- 2θ 34.9, d 2.569, I = 64
- 2θ 35.5, d 2.529, I = 73

```
data_Sn3S2Br2
_symmetry_space_group_name_H-M 'P 1 21/c 1'
_symmetry_Int_Tables_number 14
_cell_length_a 8.1854
_cell_length_b 7.6305
_cell_length_c 8.1185
_cell_angle_alpha 90.00
_cell_angle_beta 116.93
_cell_angle_gamma 90.00
loop_
_symmetry_equiv_pos_as_xyz
'x,y,z'
'-x,-y,-z'
'-x,y+1/2,-z+1/2'
'x,-y+1/2,z+1/2'
loop_
_atom_site_label
_atom_site_type_symbol
_atom_site_fract_x
_atom_site_fract_y
_atom_site_fract_z
_atom_site_occupancy
Sn1 Sn 0.0000 0.0000 0.0000 1
Sn2 Sn 0.3205 0.0469 0.7532 1
S1 S 0.3690 0.1320 0.0979 1
Br1 Br 0.1293 0.7008 0.8512 1
```

***

Starting from a GGA-PBE-relaxed structure, the powder diffractogram of SrS6Br2 was computed for Cu Kα (λ = 1.5418 Å).
Kinematic intensities with the Lorentz-polarization factor, no thermal factor.

Top 6 peaks for 2θ from 15° to 90°, low angle first:
- 2θ 18.0, d 4.927, I = 85
- 2θ 23.7, d 3.751, I = 46
- 2θ 28.0, d 3.191, I = 67
- 2θ 29.2, d 3.056, I = 38
- 2θ 29.8, d 3.001, I = 100
- 2θ 40.3, d 2.238, I = 28

```
data_SrS6Br2
_symmetry_space_group_name_H-M 'P -1'
_symmetry_Int_Tables_number 2
_cell_length_a 4.5257
_cell_length_b 8.3272
_cell_length_c 8.3399
_cell_angle_alpha 107.44
_cell_angle_beta 91.48
_cell_angle_gamma 91.50
loop_
_symmetry_equiv_pos_as_xyz
'x,y,z'
'-x,-y,-z'
loop_
_atom_site_label
_atom_site_type_symbol
_atom_site_fract_x
_atom_site_fract_y
_atom_site_fract_z
_atom_site_occupancy
Sr1 Sr 0.0000 0.0000 0.0000 1
S1 S 0.0791 0.2812 0.5259 1
S2 S 0.0799 0.5262 0.2817 1
S3 S 0.1408 0.6840 0.6840 1
Br1 Br 0.5001 0.1491 0.8515 1
```